Diffraction record for Li2La3Mg2Sn4. The powder diffraction line list is theoretical, not measured: it uses a DFT-relaxed cell (PBE, Alexandria) and Cu Kα (weighted mean of Kα1 and Kα2).

Cell lengths 4.8443, 4.8443, 15.2480 Å; angles 90.00, 90.00, 120.00 degrees
Space group P-3m1 (No. 164)
Unique sites:
1 Li 0.3333 0.6667 0.1365 (multiplicity 2)
2 La 0.0000 0.0000 0.0000 (multiplicity 1)
3 La 0.0000 0.0000 0.2663 (multiplicity 2)
4 Mg 0.3333 0.6667 0.5674 (multiplicity 2)
5 Sn 0.3333 0.6667 0.3709 (multiplicity 2)
6 Sn 0.3333 0.6667 0.8757 (multiplicity 2)

Peak list (10 most intense, 2θ = 5–70°, by intensity)
(0 1 4), 2.821 Å, 31.72°, rel. 100.0; (0 1 2), 3.676 Å, 24.21°, rel. 77.7; (1 1 0), 2.422 Å, 37.12°, rel. 73.4; (2 0 4), 1.838 Å, 49.60°, rel. 28.8; (1 2 4), 1.464 Å, 63.55°, rel. 27.6; (1 0 6), 2.174 Å, 41.54°, rel. 25.5; (1 1 8), 1.498 Å, 61.95°, rel. 21.5; (1 0 3), 3.235 Å, 27.57°, rel. 18.5; (2 0 2), 2.022 Å, 44.81°, rel. 15.7; (0 2 6), 1.618 Å, 56.89°, rel. 14.8